Diffraction record for Li2GeTe5. The X-ray powder pattern is theoretical, not measured: it uses a cell relaxed with PBE and λ = 1.5418 Å (Cu Kα).
No peak broadening, texture or thermal motion is included.

Most intense lines, 15° ≤ 2θ ≤ 90°, in order of rising 2θ:
| Position (°2θ) | d (Å) | I_rel |
| --- | --- | --- |
| 17.04 | 5.202 | 39 |
| 22.04 | 4.033 | 57 |
| 23.17 | 3.839 | 27 |
| 27.94 | 3.194 | 100 |
| 28.67 | 3.113 | 50 |
| 30.95 | 2.889 | 74 |
| 34.48 | 2.601 | 28 |
| 37.52 | 2.397 | 45 |
| 38.35 | 2.347 | 32 |
| 46.49 | 1.953 | 39 |

Crystal structure
```
data_Li2GeTe5
_chemical_formula_sum 'Li2 Ge1 Te5'
_cell_length_a 6.2976
_cell_length_b 6.3694
_cell_length_c 6.6887
_cell_angle_alpha 99.82
_cell_angle_beta 99.66
_cell_angle_gamma 110.46
_symmetry_space_group_name_H-M 'P 1'
_symmetry_Int_Tables_number 1
loop_
_symmetry_equiv_pos_as_xyz
'x,y,z'
loop_
_atom_site_label
_atom_site_type_symbol
_atom_site_fract_x
_atom_site_fract_y
_atom_site_fract_z
Li1 Li 0.0000 0.0000 0.0000
Li2 Li 0.4808 0.5333 0.0495
Ge1 Ge 0.8504 0.3851 0.3693
Te1 Te 0.1141 0.6245 0.8265
Te2 Te 0.3522 0.7752 0.4049
Te3 Te 0.3793 0.2750 0.3696
Te4 Te 0.7489 0.2854 0.9226
Te5 Te 0.8356 0.9407 0.3857
```

---

Diffraction record for Tb5SmIn. The X-ray powder pattern is theoretical, not measured: it uses a cell relaxed with PBE and λ = 1.5418 Å (Cu Kα).
No peak broadening, texture or thermal motion is included.

Most intense lines, 15° ≤ 2θ ≤ 90°, in order of rising 2θ:
| Position (°2θ) | d (Å) | I_rel |
| --- | --- | --- |
| 28.08 | 3.178 | 27 |
| 28.31 | 3.153 | 43 |
| 32.03 | 2.794 | 100 |
| 32.62 | 2.745 | 60 |
| 32.80 | 2.730 | 61 |
| 39.82 | 2.264 | 24 |
| 40.31 | 2.237 | 16 |
| 51.87 | 1.763 | 16 |
| 52.52 | 1.742 | 30 |
| 68.33 | 1.373 | 16 |

Crystal structure
```
data_Tb5SmIn
_chemical_formula_sum 'Tb10 Sm2 In2'
_cell_length_a 6.3019
_cell_length_b 6.5048
_cell_length_c 10.9258
_cell_angle_alpha 90.00
_cell_angle_beta 90.00
_cell_angle_gamma 90.00
_symmetry_space_group_name_H-M 'I m m 2'
_symmetry_Int_Tables_number 44
loop_
_symmetry_equiv_pos_as_xyz
'x,y,z'
'-x,-y,z'
'-x,y,z'
'x,-y,z'
'x+1/2,y+1/2,z+1/2'
'-x+1/2,-y+1/2,z+1/2'
'-x+1/2,y+1/2,z+1/2'
'x+1/2,-y+1/2,z+1/2'
loop_
_atom_site_label
_atom_site_type_symbol
_atom_site_fract_x
_atom_site_fract_y
_atom_site_fract_z
Tb1 Tb 0.0000 0.0000 0.0000
Tb2 Tb 0.0000 0.2682 0.2515
Tb3 Tb 0.2426 0.5000 0.9714
Sm1 Sm 0.0000 0.5000 0.6253
In1 In 0.0000 0.0000 0.7235
```

---

Diffraction record for AlZnCu4. The X-ray powder pattern is theoretical, not measured: it uses a cell relaxed with PBE and λ = 1.5418 Å (Cu Kα).
No peak broadening, texture or thermal motion is included.

Most intense lines, 15° ≤ 2θ ≤ 90°, in order of rising 2θ:
| Position (°2θ) | d (Å) | I_rel |
| --- | --- | --- |
| 42.04 | 2.149 | 100 |
| 42.58 | 2.123 | 96 |
| 47.82 | 1.902 | 34 |
| 48.33 | 1.883 | 33 |
| 51.55 | 1.773 | 27 |
| 72.95 | 1.297 | 18 |
| 73.34 | 1.291 | 17 |
| 84.72 | 1.144 | 11 |
| 85.48 | 1.136 | 11 |
| 85.83 | 1.132 | 11 |

Crystal structure
```
data_AlZnCu4
_chemical_formula_sum 'Al2 Zn2 Cu8'
_cell_length_a 8.4248
_cell_length_b 3.5459
_cell_length_c 5.4056
_cell_angle_alpha 90.00
_cell_angle_beta 109.28
_cell_angle_gamma 90.00
_symmetry_space_group_name_H-M 'C 1 2/m 1'
_symmetry_Int_Tables_number 12
loop_
_symmetry_equiv_pos_as_xyz
'x,y,z'
'-x,-y,-z'
'-x,y,-z'
'x,-y,z'
'x+1/2,y+1/2,z'
'-x+1/2,-y+1/2,-z'
'-x+1/2,y+1/2,-z'
'x+1/2,-y+1/2,z'
loop_
_atom_site_label
_atom_site_type_symbol
_atom_site_fract_x
_atom_site_fract_y
_atom_site_fract_z
Al1 Al 0.0000 0.0000 0.0000
Zn1 Zn 0.0000 0.0000 0.5000
Cu1 Cu 0.1653 0.5000 0.3319
Cu2 Cu 0.1685 0.5000 0.8338
```

---

Diffraction record for LiPmPb3. The X-ray powder pattern is theoretical, not measured: it uses a cell relaxed with PBE and λ = 1.5418 Å (Cu Kα).
No peak broadening, texture or thermal motion is included.

Most intense lines, 15° ≤ 2θ ≤ 90°, in order of rising 2θ:
| Position (°2θ) | d (Å) | I_rel |
| --- | --- | --- |
| 22.22 | 4.001 | 18 |
| 24.04 | 3.701 | 30 |
| 24.88 | 3.578 | 36 |
| 31.64 | 2.828 | 100 |
| 32.64 | 2.744 | 70 |
| 35.81 | 2.507 | 39 |
| 37.83 | 2.378 | 35 |
| 45.34 | 2.000 | 18 |
| 53.08 | 1.725 | 26 |
| 66.69 | 1.402 | 22 |

Crystal structure
```
data_LiPmPb3
_chemical_formula_sum 'Li2 Pm2 Pb6'
_cell_length_a 4.7563
_cell_length_b 7.9942
_cell_length_c 7.4022
_cell_angle_alpha 90.00
_cell_angle_beta 90.00
_cell_angle_gamma 90.00
_symmetry_space_group_name_H-M 'P m m n'
_symmetry_Int_Tables_number 59
loop_
_symmetry_equiv_pos_as_xyz
'x,y,z'
'-x,-y,-z'
'-x+1/2,-y+1/2,z'
'x+1/2,y+1/2,-z'
'x+1/2,-y,-z'
'-x+1/2,y,z'
'-x,y+1/2,-z'
'x,-y+1/2,z'
loop_
_atom_site_label
_atom_site_type_symbol
_atom_site_fract_x
_atom_site_fract_y
_atom_site_fract_z
Li1 Li 0.2500 0.2500 0.0357
Pm1 Pm 0.2500 0.2500 0.4846
Pb1 Pb 0.2500 0.5567 0.7743
Pb2 Pb 0.2500 0.7500 0.1979
```